(1)
# Ti2N2O
Calculated X-ray diffraction stick pattern, Cu Kα (weighted mean of Kα1 and Kα2). Input: the GGA-PBE geometry in the Materials Project.
No peak broadening, texture or thermal motion is included.

Most intense lines, 2θ = 5–70°, in order of rising 2θ:
2θ = 22.92°, rel. 23
2θ = 32.63°, rel. 100
2θ = 32.79°, rel. 32
2θ = 37.91°, rel. 18
2θ = 44.69°, rel. 8
2θ = 48.82°, rel. 8
2θ = 54.58°, rel. 26
2θ = 54.76°, rel. 17
2θ = 54.86°, rel. 8
2θ = 65.08°, rel. 12

Atomic structure:
a b c (Å): 8.1929 8.2206 8.2353
angles (deg): 109.54 109.40 109.30
Sites, in units of the cell vectors:
Ti (0.0000, 0.0000, 0.0000)
Ti (0.0071, 0.4916, 0.5019)
Ti (0.0473, 0.6946, 0.2418)
Ti (0.2182, 0.1679, 0.4525)
Ti (0.2595, 0.4647, 0.2186)
Ti (0.2690, 0.9553, 0.7073)
Ti (0.3022, 0.7447, 0.9557)
Ti (0.4664, 0.2068, 0.1681)
Ti (0.4909, 0.9070, 0.4074)
Ti (0.5156, 0.4203, 0.9103)
Ti (0.5472, 0.7067, 0.7499)
Ti (0.7152, 0.6643, 0.4647)
Ti (0.7437, 0.9552, 0.1981)
Ti (0.7577, 0.4658, 0.7049)
Ti (0.7950, 0.2529, 0.9616)
Ti (0.9702, 0.2158, 0.6620)
N (0.0206, 0.4446, 0.2452)
N (0.0331, 0.4904, 0.7574)
N (0.2435, 0.6788, 0.1554)
N (0.2634, 0.2269, 0.2517)
N (0.2947, 0.7241, 0.6967)
N (0.3059, 0.9658, 0.4834)
N (0.4801, 0.6876, 0.4776)
N (0.4808, 0.4133, 0.6565)
N (0.5213, 0.6796, 0.9837)
N (0.5280, 0.1790, 0.9372)
N (0.5307, 0.0059, 0.2150)
N (0.7143, 0.4091, 0.4323)
N (0.7500, 0.9973, 0.9766)
N (0.7964, 0.5075, 0.9825)
N (0.8115, 0.7345, 0.7479)
N (0.9918, 0.2275, 0.4323)
O (0.0282, 0.2171, 0.9279)
O (0.2055, 0.9480, 0.9304)
O (0.2104, 0.1886, 0.7169)
O (0.4911, 0.4649, 0.1654)
O (0.7122, 0.1796, 0.6675)
O (0.7643, 0.9141, 0.4418)
O (0.9785, 0.7325, 0.4719)
O (0.9821, 0.9044, 0.1936)

=====

(2)
# NaIO3
Calculated X-ray diffraction stick pattern, Cu Kα (weighted mean of Kα1 and Kα2). Input: the GGA-PBE geometry in the Materials Project.
No peak broadening, texture or thermal motion is included.

Most intense lines, 2θ = 5–70°, in order of rising 2θ:
2θ = 20.46°, rel. 76
2θ = 21.33°, rel. 30
2θ = 27.29°, rel. 30
2θ = 29.72°, rel. 100
2θ = 30.80°, rel. 20
2θ = 34.89°, rel. 21
2θ = 41.61°, rel. 21
2θ = 49.77°, rel. 28
2θ = 52.07°, rel. 13
2θ = 54.13°, rel. 32

Atomic structure:
a b c (Å): 6.5367 8.3316 5.8054
angles (deg): 90.00 90.00 90.00
Sites, in units of the cell vectors:
Na (0.0000, 0.0000, 0.0000)
Na (0.0000, 0.5000, 0.0000)
Na (0.5000, 0.0000, 0.5000)
Na (0.5000, 0.5000, 0.5000)
I (0.0159, 0.2500, 0.4902)
I (0.4841, 0.7500, 0.9902)
I (0.5159, 0.2500, 0.0098)
I (0.9841, 0.7500, 0.5098)
O (0.0964, 0.2500, 0.7919)
O (0.1659, 0.0850, 0.3651)
O (0.1659, 0.4150, 0.3651)
O (0.3341, 0.5850, 0.8651)
O (0.3341, 0.9150, 0.8651)
O (0.4036, 0.7500, 0.2919)
O (0.5964, 0.2500, 0.7081)
O (0.6659, 0.0850, 0.1349)
O (0.6659, 0.4150, 0.1349)
O (0.8341, 0.5850, 0.6349)
O (0.8341, 0.9150, 0.6349)
O (0.9036, 0.7500, 0.2081)

=====

(3)
# Ba2CuOsO6
Calculated X-ray diffraction stick pattern, Cu Kα (weighted mean of Kα1 and Kα2). Input: the GGA-PBE geometry in the Materials Project.
No peak broadening, texture or thermal motion is included.

Most intense lines, 2θ = 5–70°, in order of rising 2θ:
2θ = 18.46°, rel. 22
2θ = 29.98°, rel. 100
2θ = 31.15°, rel. 45
2θ = 41.14°, rel. 16
2θ = 44.63°, rel. 26
2θ = 52.49°, rel. 21
2θ = 54.70°, rel. 39
2θ = 62.31°, rel. 18
2θ = 64.95°, rel. 8
2θ = 68.14°, rel. 12

Atomic structure:
a b c (Å): 5.9787 5.9787 5.9787
angles (deg): 122.59 122.59 85.57
Sites, in units of the cell vectors:
Ba (0.2500, 0.7500, 0.5000)
Ba (0.7500, 0.2500, 0.5000)
Cu (0.0000, 0.0000, 0.0000)
Os (0.5000, 0.5000, 0.0000)
O (0.2457, 0.7213, 0.9670)
O (0.2784, 0.2784, 0.0000)
O (0.2787, 0.2457, 0.5244)
O (0.7213, 0.7543, 0.4756)
O (0.7216, 0.7216, 0.0000)
O (0.7543, 0.2787, 0.0330)

=====

(4)
# MoWSeS3
Calculated X-ray diffraction stick pattern, Cu Kα (weighted mean of Kα1 and Kα2). Input: the GGA-PBE geometry in the Materials Project.
No peak broadening, texture or thermal motion is included.

Most intense lines, 2θ = 5–70°, in order of rising 2θ:
2θ = 7.29°, rel. 36
2θ = 12.17°, rel. 100
2θ = 14.61°, rel. 17
2θ = 32.09°, rel. 22
2θ = 32.19°, rel. 12
2θ = 32.95°, rel. 12
2θ = 34.45°, rel. 16
2θ = 37.85°, rel. 57
2θ = 45.95°, rel. 33
2θ = 57.22°, rel. 17

Atomic structure:
a b c (Å): 3.2204 3.2204 36.3668
angles (deg): 90.00 90.00 120.00
Sites, in units of the cell vectors:
Mo (0.0000, 0.0000, 0.0000)
Mo (0.3333, 0.6667, 0.8121)
W (0.0000, 0.0000, 0.6243)
W (0.3333, 0.6667, 0.1879)
Se (0.3333, 0.6667, 0.0470)
Se (0.3333, 0.6667, 0.9529)
S (0.0000, 0.0000, 0.1449)
S (0.0000, 0.0000, 0.2308)
S (0.0000, 0.0000, 0.7693)
S (0.0000, 0.0000, 0.8549)
S (0.3333, 0.6667, 0.5813)
S (0.3333, 0.6667, 0.6672)